Entry 1:
Structure and calculated X-ray powder pattern of Mo2P3O14 (a PBE+U-relaxed structure; λ = 1.5418 Å (Cu Kα)).
Kinematic intensities with the Lorentz-polarization factor, no thermal factor.

Structural model:
```
data_Mo2P3O14
_symmetry_space_group_name_H-M 'P 1'
_symmetry_Int_Tables_number 1
_cell_length_a 6.5081
_cell_length_b 6.5145
_cell_length_c 8.9503
_cell_angle_alpha 106.61
_cell_angle_beta 106.70
_cell_angle_gamma 90.04
loop_
_symmetry_equiv_pos_as_xyz
'x,y,z'
loop_
_atom_site_label
_atom_site_fract_x
_atom_site_fract_y
_atom_site_fract_z
_atom_site_occupancy
Mo1 0.0000 0.0000 0.0000 1
Mo2 0.4317 0.4357 0.8273 1
P1 0.2423 0.0985 0.4340 1
P2 0.4699 0.9703 0.9223 1
P3 0.9671 0.4693 0.9200 1
O1 0.0084 0.3225 0.0289 1
O2 0.0104 0.7005 0.0307 1
O3 0.1153 0.4237 0.8047 1
O4 0.1182 0.1134 0.2695 1
O5 0.1709 0.9044 0.4897 1
O6 0.3205 0.3123 0.5646 1
O7 0.3250 0.0110 0.0328 1
O8 0.3967 0.9094 0.4479 1
O9 0.4233 0.7305 0.8065 1
O10 0.4279 0.1198 0.8101 1
O11 0.5116 0.5089 0.0350 1
O12 0.7026 0.0091 0.0327 1
O13 0.7280 0.4256 0.8038 1
O14 0.9233 0.9168 0.7923 1
```

Principal peaks in the range 5 to 70 degrees two-theta, in order of rising 2θ:
| 2θ/deg | I/Imax | h k l |
| --- | --- | --- |
| 10.8 | 100 | 0 0 1 |
| 14.3 | 19 | 1 0 0 |
| 15.1 | 23 | 1 0 -1 |
| 19.4 | 10 | 1 1 -1 |
| 21.7 | 14 | 0 0 2 |
| 22.2 | 12 | 0 1 -2 |
| 27.5 | 35 | 2 0 -1 |
| 28.7 | 19 | 0 2 0 |
| 29.5 | 11 | 1 0 2 |
| 30.5 | 9 | 0 2 -2 |


Entry 2:
Structure and calculated X-ray powder pattern of Mo2P3O13 (a PBE+U-relaxed structure; λ = 1.5418 Å (Cu Kα)).
Kinematic intensities with the Lorentz-polarization factor, no thermal factor.

Structural model:
```
data_Mo2P3O13
_symmetry_space_group_name_H-M 'C 1 2/c 1'
_symmetry_Int_Tables_number 15
_cell_length_a 10.9605
_cell_length_b 14.4854
_cell_length_c 8.9584
_cell_angle_alpha 90.00
_cell_angle_beta 126.32
_cell_angle_gamma 90.00
loop_
_symmetry_equiv_pos_as_xyz
'x,y,z'
'-x,-y,-z'
'-x,y,-z+1/2'
'x,-y,z+1/2'
'x+1/2,y+1/2,z'
'-x+1/2,-y+1/2,-z'
'-x+1/2,y+1/2,-z+1/2'
'x+1/2,-y+1/2,z+1/2'
loop_
_atom_site_label
_atom_site_fract_x
_atom_site_fract_y
_atom_site_fract_z
_atom_site_occupancy
Mo1 0.2450 0.0883 0.1748 1
P1 0.0000 0.0096 0.2500 1
P2 0.0560 0.2938 0.9383 1
O1 0.0000 0.2382 0.7500 1
O2 0.0619 0.0525 0.9208 1
O3 0.0864 0.3425 0.6005 1
O4 0.1251 0.2256 0.0931 1
O5 0.1293 0.0710 0.2814 1
O6 0.1668 0.3678 0.9588 1
O7 0.1738 0.4818 0.2705 1
```

Principal peaks in the range 5 to 70 degrees two-theta, in order of rising 2θ:
| 2θ/deg | I/Imax | h k l |
| --- | --- | --- |
| 11.9 | 91 | 1 1 -1 |
| 12.2 | 15 | 0 2 0 |
| 17.3 | 100 | 0 2 1 |
| 20.3 | 29 | 2 2 -1 |
| 21.0 | 24 | 1 3 0 |
| 26.0 | 29 | 3 1 -2 |
| 27.6 | 26 | 0 2 2 |
| 29.6 | 18 | 2 4 -1 |
| 32.0 | 15 | 2 4 0 |
| 32.5 | 17 | 1 1 2 |